Entry 1:
The following is a calculated powder diffractogram of BaPt4Pb12. It was derived from DFT lattice parameters and positions (PBE), using Cu Kα X-rays.
Lines closer than 0.1° are merged.

Structural model:
a = 8.628 Å, b = 8.628 Å, c = 8.628 Å
α = 109.47°, β = 109.47°, γ = 109.47°
Atoms (fractional coordinates):
1 Ba 0.000 0.000 0.000
2 Pt 0.000 0.000 0.500
3 Pt 0.000 0.500 0.000
4 Pt 0.500 0.000 0.000
5 Pt 0.500 0.500 0.500
6 Pb 0.162 0.343 0.504
7 Pb 0.162 0.657 0.819
8 Pb 0.181 0.838 0.343
9 Pb 0.343 0.181 0.838
10 Pb 0.343 0.504 0.162
11 Pb 0.496 0.838 0.657
12 Pb 0.504 0.162 0.343
13 Pb 0.657 0.496 0.838
14 Pb 0.657 0.819 0.162
15 Pb 0.819 0.162 0.657
16 Pb 0.838 0.343 0.181
17 Pb 0.838 0.657 0.496

The 10 most intense peaks (2θ = 5–70°), by angle:
| 2θ (°) | intensity |
| --- | --- |
| 17.8 | 10 |
| 28.3 | 100 |
| 33.7 | 39 |
| 40.5 | 34 |
| 42.6 | 9 |
| 44.6 | 35 |
| 46.5 | 28 |
| 53.6 | 14 |
| 61.8 | 8 |
| 63.3 | 20 |

Entry 2:
The following is a calculated powder diffractogram of Rb2Ba2Pb15. It was derived from DFT lattice parameters and positions (PBE), using Cu Kα X-rays.
Lines closer than 0.1° are merged.

Structural model:
a = 8.941 Å, b = 8.941 Å, c = 8.941 Å
α = 81.25°, β = 81.25°, γ = 81.25°
Atoms (fractional coordinates):
1 Rb 0.147 0.147 0.147
2 Rb 0.853 0.853 0.853
3 Ba 0.395 0.395 0.395
4 Ba 0.605 0.605 0.605
5 Pb 0.000 0.500 0.500
6 Pb 0.146 0.146 0.658
7 Pb 0.146 0.658 0.146
8 Pb 0.205 0.500 0.795
9 Pb 0.205 0.795 0.500
10 Pb 0.342 0.854 0.854
11 Pb 0.500 0.000 0.500
12 Pb 0.500 0.205 0.795
13 Pb 0.500 0.500 0.000
14 Pb 0.500 0.795 0.205
15 Pb 0.658 0.146 0.146
16 Pb 0.795 0.205 0.500
17 Pb 0.795 0.500 0.205
18 Pb 0.854 0.342 0.854
19 Pb 0.854 0.854 0.342

The 10 most intense peaks (2θ = 5–70°), by angle:
| 2θ (°) | intensity |
| --- | --- |
| 15.2 | 32 |
| 26.8 | 17 |
| 30.3 | 30 |
| 30.7 | 100 |
| 30.9 | 19 |
| 34.1 | 24 |
| 34.4 | 85 |
| 54.1 | 15 |
| 54.6 | 18 |
| 63.7 | 12 |

Entry 3:
The following is a calculated powder diffractogram of RbBa2TlPb. It was derived from DFT lattice parameters and positions (PBE), using Cu Kα X-rays.
Lines closer than 0.1° are merged.

Structural model:
a = 6.715 Å, b = 6.715 Å, c = 6.120 Å
α = 90.00°, β = 90.00°, γ = 90.00°
Atoms (fractional coordinates):
1 Rb 0.000 0.000 0.000
2 Ba 0.000 0.500 0.000
3 Ba 0.500 0.000 0.000
4 Tl 0.500 0.500 0.500
5 Pb 0.000 0.000 0.500

The 10 most intense peaks (2θ = 5–70°), by angle:
| 2θ (°) | intensity |
| --- | --- |
| 18.7 | 13 |
| 23.7 | 100 |
| 26.6 | 64 |
| 29.2 | 25 |
| 37.9 | 25 |
| 39.9 | 44 |
| 45.2 | 37 |
| 48.5 | 40 |
| 63.2 | 25 |
| 69.8 | 17 |

Entry 4:
The following is a calculated powder diffractogram of BaRh2Pb3. It was derived from DFT lattice parameters and positions (PBE), using Cu Kα X-rays.
Lines closer than 0.1° are merged.

Structural model:
a = 7.195 Å, b = 7.195 Å, c = 6.167 Å
α = 90.00°, β = 90.00°, γ = 77.23°
Atoms (fractional coordinates):
1 Ba 0.138 0.862 0.750
2 Ba 0.862 0.138 0.250
3 Rh 0.285 0.285 0.000
4 Rh 0.285 0.285 0.500
5 Rh 0.715 0.715 0.000
6 Rh 0.715 0.715 0.500
7 Pb 0.037 0.599 0.250
8 Pb 0.401 0.963 0.250
9 Pb 0.478 0.522 0.250
10 Pb 0.522 0.478 0.750
11 Pb 0.599 0.037 0.750
12 Pb 0.963 0.401 0.750

The 10 most intense peaks (2θ = 5–70°), by angle:
| 2θ (°) | intensity |
| --- | --- |
| 12.6 | 29 |
| 29.0 | 36 |
| 29.3 | 41 |
| 29.6 | 100 |
| 30.9 | 42 |
| 35.3 | 26 |
| 38.9 | 89 |
| 39.1 | 24 |
| 42.9 | 33 |
| 50.8 | 25 |

Entry 5:
The following is a calculated powder diffractogram of BaRh4Pb6. It was derived from DFT lattice parameters and positions (PBE), using Cu Kα X-rays.
Lines closer than 0.1° are merged.

Structural model:
a = 7.225 Å, b = 7.225 Å, c = 7.225 Å
α = 119.18°, β = 119.18°, γ = 91.42°
Atoms (fractional coordinates):
1 Ba 0.000 0.000 0.000
2 Rh 0.250 0.591 0.000
3 Rh 0.409 0.409 0.659
4 Rh 0.591 0.250 0.000
5 Rh 0.750 0.750 0.341
6 Pb 0.000 0.500 0.500
7 Pb 0.122 0.122 0.647
8 Pb 0.475 0.475 0.353
9 Pb 0.500 0.000 0.500
10 Pb 0.525 0.878 0.000
11 Pb 0.878 0.525 0.000

The 10 most intense peaks (2θ = 5–70°), by angle:
| 2θ (°) | intensity |
| --- | --- |
| 24.7 | 33 |
| 28.7 | 85 |
| 30.2 | 100 |
| 34.7 | 48 |
| 38.0 | 45 |
| 38.4 | 70 |
| 38.9 | 53 |
| 39.8 | 65 |
| 50.5 | 33 |
| 68.4 | 32 |

Entry 6:
The following is a calculated powder diffractogram of BaRh3Pb6. It was derived from DFT lattice parameters and positions (PBE), using Cu Kα X-rays.
Lines closer than 0.1° are merged.

Structural model:
a = 14.340 Å, b = 14.340 Å, c = 4.602 Å
α = 90.00°, β = 90.00°, γ = 146.14°
Atoms (fractional coordinates):
1 Ba 0.090 0.910 0.750
2 Ba 0.910 0.090 0.250
3 Rh 0.094 0.528 0.250
4 Rh 0.463 0.537 0.250
5 Rh 0.472 0.906 0.250
6 Rh 0.528 0.094 0.750
7 Rh 0.537 0.463 0.750
8 Rh 0.906 0.472 0.750
9 Pb 0.027 0.370 0.750
10 Pb 0.250 0.750 0.750
11 Pb 0.252 0.345 0.750
12 Pb 0.345 0.252 0.250
13 Pb 0.366 0.634 0.250
14 Pb 0.370 0.027 0.250
15 Pb 0.630 0.973 0.750
16 Pb 0.634 0.366 0.750
17 Pb 0.655 0.748 0.750
18 Pb 0.748 0.655 0.250
19 Pb 0.750 0.250 0.250
20 Pb 0.973 0.630 0.250

The 10 most intense peaks (2θ = 5–70°), by angle:
| 2θ (°) | intensity |
| --- | --- |
| 6.4 | 31 |
| 11.1 | 32 |
| 27.5 | 69 |
| 29.6 | 100 |
| 32.6 | 51 |
| 33.8 | 40 |
| 39.1 | 97 |
| 39.2 | 39 |
| 52.7 | 23 |
| 65.1 | 23 |

Entry 7:
The following is a calculated powder diffractogram of BaRh2Pb4. It was derived from DFT lattice parameters and positions (PBE), using Cu Kα X-rays.
Lines closer than 0.1° are merged.

Structural model:
a = 19.848 Å, b = 4.796 Å, c = 7.505 Å
α = 90.00°, β = 90.00°, γ = 90.00°
Atoms (fractional coordinates):
1 Ba 0.140 0.250 0.005
2 Ba 0.360 0.750 0.505
3 Ba 0.640 0.250 0.495
4 Ba 0.860 0.750 0.995
5 Rh 0.034 0.750 0.256
6 Rh 0.213 0.250 0.519
7 Rh 0.287 0.750 0.019
8 Rh 0.466 0.250 0.756
9 Rh 0.534 0.750 0.244
10 Rh 0.713 0.250 0.981
11 Rh 0.787 0.750 0.481
12 Rh 0.966 0.250 0.744
13 Pb 0.031 0.750 0.854
14 Pb 0.072 0.250 0.493
15 Pb 0.182 0.750 0.306
16 Pb 0.197 0.750 0.723
17 Pb 0.303 0.250 0.223
18 Pb 0.318 0.250 0.806
19 Pb 0.428 0.750 0.993
20 Pb 0.469 0.250 0.354
21 Pb 0.531 0.750 0.646
22 Pb 0.572 0.250 0.007
23 Pb 0.682 0.750 0.194
24 Pb 0.697 0.750 0.777
25 Pb 0.803 0.250 0.277
26 Pb 0.818 0.250 0.694
27 Pb 0.928 0.750 0.507
28 Pb 0.969 0.250 0.146

The 10 most intense peaks (2θ = 5–70°), by angle:
| 2θ (°) | intensity |
| --- | --- |
| 25.8 | 14 |
| 31.6 | 100 |
| 32.9 | 20 |
| 33.8 | 17 |
| 36.2 | 18 |
| 37.5 | 35 |
| 40.9 | 33 |
| 53.1 | 12 |
| 59.1 | 26 |
| 64.0 | 14 |

Entry 8:
The following is a calculated powder diffractogram of Ba3RhPb. It was derived from DFT lattice parameters and positions (PBE), using Cu Kα X-rays.
Lines closer than 0.1° are merged.

Structural model:
a = 5.898 Å, b = 8.140 Å, c = 8.499 Å
α = 82.39°, β = 89.99°, γ = 89.93°
Atoms (fractional coordinates):
1 Ba 0.000 0.000 0.000
2 Ba 0.000 0.342 0.585
3 Ba 0.499 0.137 0.266
4 Ba 0.499 0.595 0.798
5 Ba 0.998 0.546 0.136
6 Ba 0.998 0.871 0.526
7 Rh 0.500 0.817 0.052
8 Rh 0.999 0.192 0.291
9 Pb 0.498 0.647 0.362
10 Pb 0.500 0.062 0.767

The 10 most intense peaks (2θ = 5–70°), by angle:
| 2θ (°) | intensity |
| --- | --- |
| 25.7 | 26 |
| 26.0 | 92 |
| 26.8 | 53 |
| 27.1 | 34 |
| 27.7 | 69 |
| 28.5 | 36 |
| 29.9 | 26 |
| 30.3 | 100 |
| 32.7 | 36 |
| 45.2 | 30 |

> Number 8 is which compound?

Ba3RhPb

> Number 5 is which compound?

BaRh4Pb6

Repeat the third record exactly.
The following is a calculated powder diffractogram of RbBa2TlPb. It was derived from DFT lattice parameters and positions (PBE), using Cu Kα X-rays.
Lines closer than 0.1° are merged.

Structural model:
a = 6.715 Å, b = 6.715 Å, c = 6.120 Å
α = 90.00°, β = 90.00°, γ = 90.00°
Atoms (fractional coordinates):
1 Rb 0.000 0.000 0.000
2 Ba 0.000 0.500 0.000
3 Ba 0.500 0.000 0.000
4 Tl 0.500 0.500 0.500
5 Pb 0.000 0.000 0.500

The 10 most intense peaks (2θ = 5–70°), by angle:
| 2θ (°) | intensity |
| --- | --- |
| 18.7 | 13 |
| 23.7 | 100 |
| 26.6 | 64 |
| 29.2 | 25 |
| 37.9 | 25 |
| 39.9 | 44 |
| 45.2 | 37 |
| 48.5 | 40 |
| 63.2 | 25 |
| 69.8 | 17 |